This entry pairs a crystal structure of Ac2HgGe4Rh3 with its theoretical XRD peak list. Radiation: Cu Kα. Structure: a PBE-relaxed structure.

The 10 most intense peaks (10 to 80 degrees two-theta), most intense first:
Position (°2θ)  Rel. int.
33.1  100
32.7  57
40.3  56
52.8  30
68.8  25
48.2  20
58.4  19
64.6  16
60.9  15
21.6  13

Structural model:
Cell lengths 4.4721, 4.4721, 10.4127 Å; angles 90.00, 90.00, 90.00 degrees
Space group P-4m2 (No. 115)
Asymmetric unit:
Ac 0.0000 0.5000 0.2393 x2
Hg 0.0000 0.0000 0.5000 x1
Ge 0.0000 0.0000 0.0000 x1
Ge 0.0000 0.5000 0.6448 x2
Ge 0.5000 0.5000 0.0000 x1
Rh 0.0000 0.5000 0.8836 x2
Rh 0.5000 0.5000 0.5000 x1

---

This entry pairs a crystal structure of MgAg3Hg3 with its theoretical XRD peak list. Radiation: Cu Kα. Structure: a PBE-relaxed structure.

The 10 most intense peaks (10 to 80 degrees two-theta), most intense first:
Position (°2θ)  Rel. int.
16.1  100
28.0  77
40.0  72
43.4  47
46.5  39
22.8  32
36.4  28
67.9  25
25.5  24
60.5  19

Structural model:
Cell lengths 7.8078, 7.8078, 7.8078 Å; angles 90.00, 90.00, 90.00 degrees
Space group Pm-3n (No. 223)
Asymmetric unit:
Mg 0.0000 0.0000 0.0000 x2
Ag 0.0000 0.2500 0.5000 x6
Hg 0.0000 0.5000 0.2500 x6